MgO: simulated powder X-ray diffraction pattern (CuKα), based on a DFT-relaxed cell (GGA-PBE, the Materials Project).

Atomic structure:
abc: 3.525 3.525 4.231
angles: 90.00 90.00 120.00
Fractional coordinates of all 4 atoms:
Mg 0.333 0.667 0.250
Mg 0.667 0.333 0.750
O 0.333 0.667 0.750
O 0.667 0.333 0.250

The 8 most intense peaks (2θ from 5° to 70°), low angle first:
| two_theta | I_rel | hkl |
| --- | --- | --- |
| 29.3 | 100 | 1 0 0 |
| 36.3 | 15 | 1 0 1 |
| 42.7 | 42 | 0 0 2 |
| 51.9 | 67 | 1 1 0 |
| 52.6 | 32 | 1 0 2 |
| 60.7 | 10 | 2 0 0 |
| 65.0 | 5 | 2 0 1 |
| 69.4 | 48 | 1 1 2 |